# 1
Simulated powder diffraction line list
Compound: CeSi4Pd12
Radiation: copper Kα
Structure: the GGA-PBE geometry in Alexandria
Kinematic intensities with the Lorentz-polarization factor, no thermal factor.

Atomic structure:
a = 8.394 Å, b = 8.394 Å, c = 8.394 Å
α = 90.00°, β = 90.00°, γ = 90.00°
Space group Im-3 (No. 204)
One atom of each set of equivalent atoms:
Ce 0.000 0.000 0.000 [2 per cell]
Si 0.250 0.250 0.250 [8 per cell]
Pd 0.000 0.166 0.340 [24 per cell]

Largest 10 diffraction maxima, in order of rising 2θ, 2θ from 10° to 80°:
hkl, 2θ (°), I/Imax
3 1 0, 33.8, 100.0
3 2 1, 40.2, 47.1
4 2 0, 48.5, 6.0
3 3 2, 51.0, 5.3
4 2 2, 53.5, 15.4
4 1 3, 55.9, 23.2
5 0 3, 64.8, 12.9
6 0 0, 66.9, 13.8
5 3 2, 69.0, 7.7
6 3 1, 77.1, 17.2


# 2
Simulated powder diffraction line list
Compound: Ce3Si2Pd
Radiation: copper Kα
Structure: the GGA-PBE geometry in Alexandria
Kinematic intensities with the Lorentz-polarization factor, no thermal factor.

Atomic structure:
a = 7.713 Å, b = 9.883 Å, c = 7.535 Å
α = 90.00°, β = 111.11°, γ = 90.00°
Space group P2_1/c (No. 14)
One atom of each set of equivalent atoms:
Ce 0.181 0.164 0.471 [4 per cell]
Ce 0.218 0.638 0.213 [4 per cell]
Ce 0.281 0.065 0.094 [4 per cell]
Si 0.046 0.602 0.780 [4 per cell]
Si 0.477 0.179 0.852 [4 per cell]
Pd 0.406 0.624 0.924 [4 per cell]

Largest 10 diffraction maxima, in order of rising 2θ, 2θ from 10° to 80°:
hkl, 2θ (°), I/Imax
0 2 1, 22.0, 24.3
2 0 0, 24.7, 44.1
1 1 -2, 25.5, 81.5
0 3 1, 30.0, 59.3
0 4 0, 36.4, 48.3
2 2 1, 36.7, 100.0
1 1 -3, 37.0, 67.5
3 1 -2, 38.1, 38.6
1 4 -1, 39.2, 31.3
1 2 -3, 40.3, 35.7


# 3
Simulated powder diffraction line list
Compound: CeSi2Pd5
Radiation: copper Kα
Structure: the GGA-PBE geometry in Alexandria
Kinematic intensities with the Lorentz-polarization factor, no thermal factor.

Atomic structure:
a = 3.943 Å, b = 7.076 Å, c = 9.741 Å
α = 90.00°, β = 90.00°, γ = 90.00°
Space group Immm (No. 71)
One atom of each set of equivalent atoms:
Ce 0.000 0.000 0.000 [2 per cell]
Si 0.000 0.500 0.245 [4 per cell]
Pd 0.000 0.196 0.349 [8 per cell]
Pd 0.000 0.500 0.000 [2 per cell]

Largest 10 diffraction maxima, in order of rising 2θ, 2θ from 10° to 80°:
hkl, 2θ (°), I/Imax
0 2 2, 31.2, 29.8
1 2 1, 35.3, 96.3
1 0 3, 35.8, 100.0
1 3 0, 44.8, 18.8
0 2 4, 45.2, 39.2
2 0 0, 46.0, 30.8
0 0 6, 56.7, 20.1
2 2 4, 66.5, 24.3
1 2 7, 77.6, 14.5
3 0 3, 78.5, 11.9


# 4
Simulated powder diffraction line list
Compound: Ce2SiPd14
Radiation: copper Kα
Structure: the GGA-PBE geometry in Alexandria
Kinematic intensities with the Lorentz-polarization factor, no thermal factor.

Atomic structure:
a = 9.003 Å, b = 9.003 Å, c = 7.004 Å
α = 90.00°, β = 90.00°, γ = 90.00°
Space group P4/nmm (No. 129, origin choice 2)
One atom of each set of equivalent atoms:
Ce 0.250 0.250 0.070 [2 per cell]
Ce 0.250 0.750 0.500 [2 per cell]
Si 0.250 0.250 0.558 [2 per cell]
Pd 0.000 0.000 0.000 [4 per cell]
Pd 0.020 0.250 0.746 [8 per cell]
Pd 0.086 0.086 0.387 [8 per cell]
Pd 0.099 0.750 0.849 [8 per cell]

Largest 10 diffraction maxima, in order of rising 2θ, 2θ from 10° to 80°:
hkl, 2θ (°), I/Imax
3 1 1, 34.0, 36.5
2 2 2, 38.2, 100.0
3 0 2, 39.5, 53.4
1 0 3, 39.9, 18.1
4 0 0, 40.1, 15.0
4 1 1, 43.4, 21.3
2 0 3, 43.7, 14.8
4 2 1, 47.0, 16.3
6 2 2, 71.6, 13.4
6 3 2, 75.9, 13.6


# 5
Simulated powder diffraction line list
Compound: Ce2ZnSi4Pd3
Radiation: copper Kα
Structure: the GGA-PBE geometry in Alexandria
Kinematic intensities with the Lorentz-polarization factor, no thermal factor.

Atomic structure:
a = 4.212 Å, b = 4.212 Å, c = 10.051 Å
α = 90.00°, β = 90.00°, γ = 90.00°
Space group P-4m2 (No. 115)
One atom of each set of equivalent atoms:
Ce 0.000 0.500 0.247 [2 per cell]
Zn 0.000 0.000 0.500 [1 per cell]
Si 0.000 0.000 0.000 [1 per cell]
Si 0.000 0.500 0.638 [2 per cell]
Si 0.500 0.500 0.000 [1 per cell]
Pd 0.000 0.500 0.878 [2 per cell]
Pd 0.500 0.500 0.500 [1 per cell]

Largest 10 diffraction maxima, in order of rising 2θ, 2θ from 10° to 80°:
hkl, 2θ (°), I/Imax
1 1 0, 30.0, 28.2
1 1 1, 31.3, 30.8
1 0 3, 34.2, 89.3
1 1 2, 35.0, 100.0
2 0 0, 42.9, 65.7
1 0 5, 50.3, 29.1
2 1 3, 56.0, 42.8
2 2 0, 62.4, 21.3
2 1 5, 68.2, 23.1
3 1 2, 73.6, 22.2


# 6
Simulated powder diffraction line list
Compound: Ce3SmPd12
Radiation: copper Kα
Structure: the GGA-PBE geometry in Alexandria
Kinematic intensities with the Lorentz-polarization factor, no thermal factor.

Atomic structure:
a = 4.160 Å, b = 4.160 Å, c = 16.629 Å
α = 90.00°, β = 90.00°, γ = 90.00°
Space group P4/mmm (No. 123)
One atom of each set of equivalent atoms:
Ce 0.000 0.000 0.000 [1 per cell]
Ce 0.000 0.000 0.251 [2 per cell]
Sm 0.000 0.000 0.500 [1 per cell]
Pd 0.000 0.500 0.125 [4 per cell]
Pd 0.000 0.500 0.372 [4 per cell]
Pd 0.500 0.500 0.000 [1 per cell]
Pd 0.500 0.500 0.249 [2 per cell]
Pd 0.500 0.500 0.500 [1 per cell]

Largest 9 diffraction maxima, in order of rising 2θ, 2θ from 10° to 80°:
hkl, 2θ (°), I/Imax
0 0 4, 21.4, 1.5
1 1 0, 30.4, 1.3
1 1 4, 37.5, 100.0
2 0 0, 43.5, 48.9
2 0 4, 49.0, 0.8
1 1 8, 54.0, 0.6
2 2 0, 63.2, 31.6
3 1 4, 75.9, 36.8
2 2 8, 79.9, 10.7


# 7
Simulated powder diffraction line list
Compound: CeSm3Pd12
Radiation: copper Kα
Structure: the GGA-PBE geometry in Alexandria
Kinematic intensities with the Lorentz-polarization factor, no thermal factor.

Atomic structure:
a = 4.165 Å, b = 4.165 Å, c = 16.649 Å
α = 90.00°, β = 90.00°, γ = 90.00°
Space group P4/mmm (No. 123)
One atom of each set of equivalent atoms:
Ce 0.000 0.000 0.000 [1 per cell]
Sm 0.000 0.000 0.251 [2 per cell]
Sm 0.000 0.000 0.500 [1 per cell]
Pd 0.000 0.500 0.121 [4 per cell]
Pd 0.000 0.500 0.374 [4 per cell]
Pd 0.500 0.500 0.000 [1 per cell]
Pd 0.500 0.500 0.248 [2 per cell]
Pd 0.500 0.500 0.500 [1 per cell]

Largest 10 diffraction maxima, in order of rising 2θ, 2θ from 10° to 80°:
hkl, 2θ (°), I/Imax
0 0 4, 21.3, 2.0
1 0 4, 30.4, 1.7
1 1 4, 37.4, 100.0
2 0 0, 43.5, 48.9
2 0 4, 48.9, 1.0
1 1 8, 53.9, 0.8
2 2 0, 63.2, 31.6
0 0 12, 67.5, 0.5
3 1 4, 75.8, 36.7
2 2 8, 79.8, 10.7


# 8
Simulated powder diffraction line list
Compound: Ce4SnPd15
Radiation: copper Kα
Structure: the GGA-PBE geometry in Alexandria
Kinematic intensities with the Lorentz-polarization factor, no thermal factor.

Atomic structure:
a = 4.147 Å, b = 4.147 Å, c = 20.573 Å
α = 90.00°, β = 90.00°, γ = 90.00°
Space group P4/mmm (No. 123)
One atom of each set of equivalent atoms:
Ce 0.000 0.000 0.102 [2 per cell]
Ce 0.000 0.000 0.305 [2 per cell]
Sn 0.000 0.000 0.500 [1 per cell]
Pd 0.000 0.500 0.000 [2 per cell]
Pd 0.000 0.500 0.203 [4 per cell]
Pd 0.000 0.500 0.404 [4 per cell]
Pd 0.500 0.500 0.101 [2 per cell]
Pd 0.500 0.500 0.304 [2 per cell]
Pd 0.500 0.500 0.500 [1 per cell]

Largest 10 diffraction maxima, in order of rising 2θ, 2θ from 10° to 80°:
hkl, 2θ (°), I/Imax
1 0 0, 21.4, 0.7
1 0 5, 30.6, 0.6
1 1 5, 37.7, 100.0
2 0 0, 43.7, 33.2
0 0 10, 44.0, 15.6
2 2 0, 63.4, 10.7
2 0 10, 63.7, 20.4
1 1 14, 71.9, 0.5
3 1 5, 76.2, 24.8
1 1 15, 76.7, 11.3